Theoretical powder X-ray diffraction pattern of Tb2Sm6Rh for Cu Kα, from a structure optimized by DFT (GGA-PBE).

The 10 most intense peaks (2θ = 15–90°), in order of rising 2θ:
hkl	Position (°2θ)	I/Imax
1 1 1	26.70	408
1 3 1	30.40	673
0 6 0	30.55	970
2 2 1	32.91	1000
3 3 0	33.02	742
2 4 1	37.51	556
3 3 1	41.42	261
0 0 2	49.82	282
2 8 1	52.54	316
0 6 2	59.57	291

Structural model:
```
data_Tb2Sm6Rh
_space_group_name_H-M_alt 'C m m m'
_space_group_IT_number 65
_space_group_name_Hall '-C 2 2'
_cell_length_a 9.1859
_cell_length_b 17.5592
_cell_length_c 3.6610
_cell_angle_alpha 90.00
_cell_angle_beta 90.00
_cell_angle_gamma 90.00
loop_
_atom_site_label
_atom_site_type_symbol
_atom_site_fract_x
_atom_site_fract_y
_atom_site_fract_z
Tb1 Tb 0.0000 0.1742 0.0000
Sm1 Sm 0.1683 0.3333 0.5000
Sm2 Sm 0.2280 0.5000 0.0000
Rh1 Rh 0.0000 0.5000 0.5000
```



Theoretical powder X-ray diffraction pattern of TiTl3Cl6 for Cu Kα, from a structure optimized by DFT (GGA-PBE).

The 10 most intense peaks (2θ = 15–90°), in order of rising 2θ:
hkl	Position (°2θ)	I/Imax
0 2 2	20.98	733
2 0 2	23.87	1000
2 2 0	25.55	304
0 0 4	26.88	205
0 4 0	32.56	274
2 2 4	37.43	498
2 4 2	40.77	413
4 2 2	45.61	207
2 0 6	45.71	147
4 0 4	48.85	148

Structural model:
```
data_TiTl3Cl6
_space_group_name_H-M_alt 'F m m m'
_space_group_IT_number 69
_space_group_name_Hall '-F 2 2'
_cell_length_a 9.0129
_cell_length_b 11.0012
_cell_length_c 13.2660
_cell_angle_alpha 90.00
_cell_angle_beta 90.00
_cell_angle_gamma 90.00
loop_
_atom_site_label
_atom_site_type_symbol
_atom_site_fract_x
_atom_site_fract_y
_atom_site_fract_z
Ti1 Ti 0.0000 0.0000 0.0000
Tl1 Tl 0.0000 0.0000 0.5000
Tl2 Tl 0.2500 0.2500 0.2500
Cl1 Cl 0.0000 0.2201 0.0000
Cl2 Cl 0.1921 0.0000 0.1292
```



Theoretical powder X-ray diffraction pattern of AcPr2SmDy4 for Cu Kα, from a structure optimized by DFT (GGA-PBE).

The 10 most intense peaks (2θ = 15–90°), in order of rising 2θ:
hkl	Position (°2θ)	I/Imax
0 4 0	26.41	446
4 0 0	29.68	1000
4 4 0	40.14	882
4 0 2	52.67	202
4 4 2	59.87	272
8 0 0	61.63	125
4 8 0	63.17	226
8 4 0	68.24	184
4 8 2	79.11	119
8 8 0	86.69	96

Structural model:
```
data_AcPr2SmDy4
_space_group_name_H-M_alt 'C 1 2/c 1'
_space_group_IT_number 15
_cell_length_a 13.9001
_cell_length_b 13.4991
_cell_length_c 6.9518
_cell_angle_alpha 90.00
_cell_angle_beta 120.00
_cell_angle_gamma 90.00
loop_
_space_group_symop_operation_xyz
'x,y,z'
'-x,-y,-z'
'-x,y,-z+1/2'
'x,-y,z+1/2'
'x+1/2,y+1/2,z'
'-x+1/2,-y+1/2,-z'
'-x+1/2,y+1/2,-z+1/2'
'x+1/2,-y+1/2,z+1/2'
loop_
_atom_site_label
_atom_site_type_symbol
_atom_site_fract_x
_atom_site_fract_y
_atom_site_fract_z
Ac1 Ac 0.2500 0.2500 0.0000
Pr1 Pr 0.0000 0.0000 0.0000
Pr2 Pr 0.2500 0.2500 0.5000
Sm1 Sm 0.0000 0.5000 0.0000
Dy1 Dy 0.0000 0.2528 0.0127
Dy2 Dy 0.2471 0.4923 0.4960
```



Theoretical powder X-ray diffraction pattern of Mn2HgRh for Cu Kα, from a structure optimized by DFT (GGA-PBE).

The 10 most intense peaks (2θ = 15–90°), in order of rising 2θ:
hkl	Position (°2θ)	I/Imax
1 0 1	24.97	411
1 1 2	39.02	1000
1 0 3	40.34	124
0 0 4	44.64	170
2 0 0	45.73	316
2 1 1	52.80	119
2 0 4	65.82	208
1 1 6	78.46	125
3 1 2	80.04	277
2 2 4	83.82	107

Structural model:
```
data_Mn2HgRh
_space_group_name_H-M_alt 'I -4 m 2'
_space_group_IT_number 119
_space_group_name_Hall 'I -4 -2'
_cell_length_a 3.9684
_cell_length_b 3.9684
_cell_length_c 8.1195
_cell_angle_alpha 90.00
_cell_angle_beta 90.00
_cell_angle_gamma 90.00
loop_
_atom_site_label
_atom_site_type_symbol
_atom_site_fract_x
_atom_site_fract_y
_atom_site_fract_z
Mn1 Mn 0.0000 0.0000 0.0000
Mn2 Mn 0.0000 0.5000 0.2500
Hg1 Hg 0.0000 0.5000 0.7500
Rh1 Rh 0.0000 0.0000 0.5000
```